1.
The following is a computed X-ray diffraction stick pattern of VN. It was derived from the PBE geometry in the Materials Project, using Cu Kα (λ = 1.5418 Å).

Main lines, sorted by position (10 to 80 degrees two-theta):
(1 0 0), 2θ 35.22, rel. 54; (1 1 0), 2θ 50.66, rel. 100; (1 1 1), 2θ 63.21, rel. 13; (2 0 0), 2θ 74.47, rel. 13

Crystal structure
Unit cell a=2.548 b=2.548 c=2.548 alpha=90.00 beta=90.00 gamma=90.00
Space group Pm-3m (No. 221)
Unique sites:
V  0.000  0.000  0.000
N  0.500  0.500  0.500

***

2.
The following is a computed X-ray diffraction stick pattern of RbGaO2. It was derived from the PBE geometry in the Materials Project, using Cu Kα (λ = 1.5418 Å).

Main lines, sorted by position (10 to 80 degrees two-theta):
(1 1 1), 2θ 18.20, rel. 1; (2 2 0), 2θ 29.93, rel. 100; (3 1 1), 2θ 35.25, rel. 3; (2 2 2), 2θ 36.88, rel. 2; (4 0 0), 2θ 42.84, rel. 12; (4 2 2), 2θ 53.14, rel. 39; (5 1 1), 2θ 56.64, rel. 1; (4 4 0), 2θ 62.19, rel. 16; (6 2 0), 2θ 70.54, rel. 16; (4 4 4), 2θ 78.48, rel. 3

Crystal structure
Unit cell a=8.444 b=8.444 c=8.444 alpha=90.00 beta=90.00 gamma=90.00
Space group Fd-3m (No. 227, origin choice 2)
Unique sites:
Rb  0.125  0.125  0.125
Ga  0.125  0.125  0.625
O  0.000  0.000  0.500

***

3.
The following is a computed X-ray diffraction stick pattern of Ba3SbP. It was derived from the PBE geometry in the Materials Project, using Cu Kα (λ = 1.5418 Å).

Main lines, sorted by position (10 to 80 degrees two-theta):
(1 0 0), 2θ 14.49, rel. 2; (1 1 0), 2θ 20.55, rel. 1; (1 1 1), 2θ 25.23, rel. 100; (2 0 0), 2θ 29.22, rel. 66; (2 1 0), 2θ 32.76, rel. 1; (2 2 0), 2θ 41.79, rel. 49; (3 1 1), 2θ 49.45, rel. 48; (2 2 2), 2θ 51.81, rel. 17; (4 0 0), 2θ 60.59, rel. 8; (3 3 1), 2θ 66.69, rel. 20; (4 2 0), 2θ 68.66, rel. 23; (4 2 2), 2θ 76.31, rel. 17

Crystal structure
Unit cell a=6.113 b=6.113 c=6.113 alpha=90.00 beta=90.00 gamma=90.00
Space group Pm-3m (No. 221)
Unique sites:
Ba  0.000  0.000  0.500
Sb  0.500  0.500  0.500
P  0.000  0.000  0.000

***

4.
The following is a computed X-ray diffraction stick pattern of SiO2. It was derived from the PBE geometry in the Materials Project, using Cu Kα (λ = 1.5418 Å).

Main lines, sorted by position (10 to 80 degrees two-theta):
(1 1 0), 2θ 10.79, rel. 23; (2 1 0), 2θ 17.10, rel. 56; (1 0 1), 2θ 18.73, rel. 100; (2 2 0), 2θ 21.68, rel. 14; (2 0 1), 2θ 23.00, rel. 30; (2 1 1), 2θ 24.26, rel. 15; (3 2 0), 2θ 27.74, rel. 15; (3 1 1), 2θ 29.83, rel. 28; (4 0 0), 2θ 30.85, rel. 12; (3 2 1), 2θ 32.76, rel. 24; (4 0 1), 2θ 35.47, rel. 15; (4 3 0), 2θ 38.83, rel. 11

Crystal structure
Unit cell a=11.593 b=11.593 c=5.192 alpha=90.00 beta=90.00 gamma=90.00
Space group P-42_1c (No. 114)
Unique sites:
Si  0.076  0.156  0.489
Si  0.097  0.700  0.723
O  0.039  0.265  0.670
O  0.044  0.881  0.334
O  0.109  0.640  0.001
O  0.180  0.817  0.708

***

5.
The following is a computed X-ray diffraction stick pattern of Al2HgS4. It was derived from the PBE geometry in the Materials Project, using Cu Kα (λ = 1.5418 Å).

Main lines, sorted by position (10 to 80 degrees two-theta):
(1 1 1), 2θ 14.75, rel. 39; (2 2 0), 2θ 24.20, rel. 100; (3 1 1), 2θ 28.46, rel. 84; (3 3 1), 2θ 37.70, rel. 32; (4 2 2), 2θ 42.58, rel. 42; (5 1 1), 2θ 45.30, rel. 44; (4 4 0), 2θ 49.58, rel. 46; (6 2 0), 2θ 55.91, rel. 18; (6 4 2), 2θ 67.37, rel. 26; (5 5 3), 2θ 69.40, rel. 19; (6 6 0), 2θ 77.94, rel. 14; (5 5 5), 2θ 79.86, rel. 13

Crystal structure
Unit cell a=10.401 b=10.401 c=10.401 alpha=90.00 beta=90.00 gamma=90.00
Space group Fd-3m (No. 227, origin choice 2)
Unique sites:
Al  0.000  0.000  0.000
Hg  0.125  0.125  0.625
S  0.016  0.016  0.234

***

6.
The following is a computed X-ray diffraction stick pattern of GdErRu2. It was derived from the PBE geometry in the Materials Project, using Cu Kα (λ = 1.5418 Å).

Main lines, sorted by position (10 to 80 degrees two-theta):
(2 0 0), 2θ 26.17, rel. 6; (2 2 0), 2θ 37.35, rel. 100; (2 2 2), 2θ 46.17, rel. 2; (4 0 0), 2θ 53.84, rel. 17; (4 2 0), 2θ 60.82, rel. 2; (4 2 2), 2θ 67.36, rel. 35; (4 4 0), 2θ 79.63, rel. 11

Crystal structure
Unit cell a=6.811 b=6.811 c=6.811 alpha=90.00 beta=90.00 gamma=90.00
Space group Fm-3m (No. 225)
Unique sites:
Gd  0.000  0.000  0.000
Er  0.000  0.000  0.500
Ru  0.250  0.250  0.250

***

7.
The following is a computed X-ray diffraction stick pattern of AcInHg2. It was derived from the PBE geometry in the Materials Project, using Cu Kα (λ = 1.5418 Å).

Main lines, sorted by position (10 to 80 degrees two-theta):
(1 1 1), 2θ 19.97, rel. 4; (2 0 0), 2θ 23.10, rel. 1; (2 2 0), 2θ 32.90, rel. 100; (3 1 1), 2θ 38.78, rel. 3; (4 0 0), 2θ 47.21, rel. 19; (3 3 1), 2θ 51.75, rel. 1; (4 2 2), 2θ 58.74, rel. 39; (5 1 1), 2θ 62.69, rel. 1; (4 4 0), 2θ 68.99, rel. 12; (5 3 1), 2θ 72.64, rel. 1; (6 2 0), 2θ 78.57, rel. 17

Crystal structure
Unit cell a=7.701 b=7.701 c=7.701 alpha=90.00 beta=90.00 gamma=90.00
Space group Fm-3m (No. 225)
Unique sites:
Ac  0.000  0.000  0.000
In  0.000  0.000  0.500
Hg  0.250  0.250  0.250

***

8.
The following is a computed X-ray diffraction stick pattern of Cs3Bi2. It was derived from the PBE geometry in the Materials Project, using Cu Kα (λ = 1.5418 Å).

Main lines, sorted by position (10 to 80 degrees two-theta):
(1 1 1), 2θ 16.36, rel. 31; (1 1 2), 2θ 23.38, rel. 18; (0 2 2), 2θ 24.52, rel. 100; (1 3 0), 2θ 26.78, rel. 29; (1 1 -3), 2θ 27.36, rel. 41; (3 1 -1), 2θ 27.50, rel. 42; (2 2 -2), 2θ 27.66, rel. 34; (2 0 2), 2θ 28.29, rel. 60; (1 3 1), 2θ 28.97, rel. 52; (3 1 -3), 2θ 34.16, rel. 20; (2 4 -3), 2θ 44.66, rel. 18; (4 4 -1), 2θ 49.46, rel. 20

Crystal structure
Unit cell a=10.257 b=10.599 c=10.317 alpha=90.00 beta=104.39 gamma=90.00
Space group C2/c (No. 15)
Unique sites:
Cs  0.000  0.160  0.250
Cs  0.211  0.452  0.985
Bi  0.095  0.217  0.661

***

9.
The following is a computed X-ray diffraction stick pattern of K2P2H4O7. It was derived from the PBE geometry in the Materials Project, using Cu Kα (λ = 1.5418 Å).

Main lines, sorted by position (10 to 80 degrees two-theta):
(1 0 0), 2θ 11.83, rel. 76; (1 1 -2), 2θ 16.92, rel. 45; (0 2 0), 2θ 22.70, rel. 61; (1 2 0), 2θ 25.66, rel. 100; (3 0 -2), 2θ 27.20, rel. 72; (1 0 -4), 2θ 27.77, rel. 53; (1 1 2), 2θ 29.14, rel. 74; (3 1 -2), 2θ 29.53, rel. 59; (3 1 -4), 2θ 30.43, rel. 31; (2 2 -4), 2θ 34.22, rel. 44; (3 0 0), 2θ 36.02, rel. 45; (1 1 -5), 2θ 38.13, rel. 36

Crystal structure
Unit cell a=10.183 b=7.837 c=14.100 alpha=90.00 beta=132.72 gamma=90.00
Space group P2_1/c (No. 14)
Unique sites:
K  0.003  0.006  0.227
K  0.466  0.723  0.393
P  0.330  0.746  0.573
P  0.375  0.244  0.291
H  0.089  0.696  0.117
H  0.116  0.220  0.479
H  0.294  0.510  0.642
H  0.301  0.043  0.654
O  0.009  0.218  0.386
O  0.252  0.705  0.940
O  0.276  0.652  0.135
O  0.285  0.548  0.569
O  0.312  0.175  0.659
O  0.315  0.145  0.844
O  0.317  0.058  0.260

***

10.
The following is a computed X-ray diffraction stick pattern of Tm2Te5O13. It was derived from the PBE geometry in the Materials Project, using Cu Kα (λ = 1.5418 Å).

Main lines, sorted by position (10 to 80 degrees two-theta):
(0 1 0), 2θ 10.50, rel. 21; (1 2 2), 2θ 27.05, rel. 81; (0 1 -3), 2θ 27.23, rel. 90; (2 1 -1), 2θ 27.66, rel. 100; (1 -2 0), 2θ 27.82, rel. 80; (2 0 2), 2θ 30.83, rel. 57; (-1 1 3), 2θ 32.05, rel. 44; (1 3 -1), 2θ 32.46, rel. 41; (3 3 1), 2θ 45.15, rel. 23; (-3 1 1), 2θ 45.84, rel. 23; (2 2 -4), 2θ 46.28, rel. 20; (3 0 -4), 2θ 54.87, rel. 30

Crystal structure
Unit cell a=6.951 b=8.736 c=10.696 alpha=89.00 beta=87.12 gamma=74.73
Space group P1 (No. 1)
Unique sites:
Tm  0.000  0.000  0.000
Tm  0.002  0.476  0.487
Tm  0.436  0.210  0.067
Tm  0.546  0.262  0.420
Te  0.114  0.092  0.362
Te  0.151  0.543  0.892
Te  0.265  0.128  0.742
Te  0.293  0.614  0.222
Te  0.447  0.636  0.543
Te  0.558  0.839  0.949
Te  0.707  0.867  0.274
Te  0.716  0.346  0.760
Te  0.837  0.924  0.600
Te  0.879  0.383  0.136
O  0.033  0.093  0.813
O  0.049  0.546  0.288
O  0.058  0.006  0.526
O  0.069  0.745  0.934
O  0.124  0.219  0.134
O  0.222  0.243  0.429
O  0.315  0.465  0.528
O  0.327  0.958  0.028
O  0.337  0.247  0.868
O  0.337  0.474  0.024
O  0.340  0.724  0.372
O  0.457  0.928  0.767
O  0.462  0.413  0.243
O  0.519  0.061  0.248
O  0.536  0.543  0.730
O  0.643  0.746  0.121
O  0.648  0.221  0.627
O  0.658  0.993  0.470
O  0.671  0.509  0.473
O  0.681  0.002  0.968
O  0.755  0.244  0.065
O  0.874  0.242  0.349
O  0.919  0.465  0.964
O  0.930  0.712  0.552
O  0.939  0.907  0.210
O  0.955  0.388  0.672

***

> Number 1 is which compound?

VN

***

Repeat the ninth record exactly.
The following is a computed X-ray diffraction stick pattern of K2P2H4O7. It was derived from the PBE geometry in the Materials Project, using Cu Kα (λ = 1.5418 Å).

Main lines, sorted by position (10 to 80 degrees two-theta):
(1 0 0), 2θ 11.83, rel. 76; (1 1 -2), 2θ 16.92, rel. 45; (0 2 0), 2θ 22.70, rel. 61; (1 2 0), 2θ 25.66, rel. 100; (3 0 -2), 2θ 27.20, rel. 72; (1 0 -4), 2θ 27.77, rel. 53; (1 1 2), 2θ 29.14, rel. 74; (3 1 -2), 2θ 29.53, rel. 59; (3 1 -4), 2θ 30.43, rel. 31; (2 2 -4), 2θ 34.22, rel. 44; (3 0 0), 2θ 36.02, rel. 45; (1 1 -5), 2θ 38.13, rel. 36

Crystal structure
Unit cell a=10.183 b=7.837 c=14.100 alpha=90.00 beta=132.72 gamma=90.00
Space group P2_1/c (No. 14)
Unique sites:
K  0.003  0.006  0.227
K  0.466  0.723  0.393
P  0.330  0.746  0.573
P  0.375  0.244  0.291
H  0.089  0.696  0.117
H  0.116  0.220  0.479
H  0.294  0.510  0.642
H  0.301  0.043  0.654
O  0.009  0.218  0.386
O  0.252  0.705  0.940
O  0.276  0.652  0.135
O  0.285  0.548  0.569
O  0.312  0.175  0.659
O  0.315  0.145  0.844
O  0.317  0.058  0.260